Entry 1:
SiH14O4F6: simulated PXRD pattern (copper Kα), based on a crystal structure in Alexandria, relaxed with GGA-PBE.
No peak broadening, texture or thermal motion is included.

Principal peaks in the range 2θ from 15° to 90°, low angle first:
Position (°2θ)  intensity
15.3  100.0
16.3  60.9
16.7  26.2
18.2  39.9
26.1  22.6
29.7  23.0
30.3  19.6
36.9  21.3

Structural model:
```
SiH14O4F6
1.0
6.225 0.000 0.000
0.000 13.612 0.000
-2.370 0.000 5.916
Si H O F
2 28 8 12
Direct
0.000 0.000 0.000
0.000 0.500 0.500
0.010 0.197 0.278
0.010 0.303 0.778
0.046 0.213 0.950
0.046 0.287 0.450
0.243 0.160 0.558
0.243 0.340 0.058
0.268 0.042 0.516
0.268 0.458 0.016
0.299 0.074 0.775
0.299 0.426 0.275
0.369 0.678 0.110
0.369 0.822 0.610
0.419 0.663 0.232
0.419 0.837 0.732
0.581 0.163 0.268
0.581 0.337 0.768
0.631 0.178 0.390
0.631 0.322 0.890
0.701 0.574 0.725
0.701 0.926 0.225
0.732 0.542 0.984
0.732 0.958 0.484
0.757 0.660 0.942
0.757 0.840 0.442
0.954 0.713 0.550
0.954 0.787 0.050
0.990 0.697 0.222
0.990 0.803 0.722
0.125 0.233 0.404
0.125 0.267 0.904
0.331 0.093 0.636
0.331 0.407 0.136
0.669 0.593 0.864
0.669 0.907 0.364
0.875 0.733 0.096
0.875 0.767 0.596
0.078 0.619 0.459
0.078 0.881 0.959
0.128 0.517 0.787
0.128 0.983 0.287
0.256 0.043 0.993
0.256 0.457 0.493
0.744 0.543 0.507
0.744 0.957 0.007
0.872 0.017 0.713
0.872 0.483 0.213
0.922 0.119 0.041
0.922 0.381 0.541
```

Entry 2:
ZnSiH12O6F6: simulated PXRD pattern (copper Kα), based on a crystal structure in Alexandria, relaxed with GGA-PBE.
No peak broadening, texture or thermal motion is included.

Principal peaks in the range 2θ from 15° to 90°, low angle first:
Position (°2θ)  intensity
18.5  100.0
21.1  59.4
30.0  21.6
34.0  39.4
43.0  13.6
44.7  10.9
47.2  23.6
54.9  17.1

Structural model:
```
ZnSiH12O6F6
1.0
4.785 2.763 3.252
-4.785 2.763 3.252
0.000 -5.526 3.252
Zn Si H O F
1 1 12 6 6
Direct
0.000 0.000 0.000
0.500 0.500 0.500
0.058 0.403 0.203
0.184 0.686 0.797
0.203 0.058 0.403
0.203 0.816 0.314
0.314 0.203 0.816
0.403 0.203 0.058
0.597 0.797 0.942
0.686 0.797 0.184
0.797 0.184 0.686
0.797 0.942 0.597
0.816 0.314 0.203
0.942 0.597 0.797
0.061 0.697 0.874
0.126 0.939 0.303
0.303 0.126 0.939
0.697 0.874 0.061
0.874 0.061 0.697
0.939 0.303 0.126
0.292 0.566 0.337
0.337 0.292 0.566
0.434 0.663 0.708
0.566 0.337 0.292
0.663 0.708 0.434
0.708 0.434 0.663
```

Entry 3:
ZnSn2H12O6F6: simulated PXRD pattern (copper Kα), based on a crystal structure in Alexandria, relaxed with GGA-PBE.
No peak broadening, texture or thermal motion is included.

Principal peaks in the range 2θ from 15° to 90°, low angle first:
Position (°2θ)  intensity
17.9  100.0
20.1  73.0
20.5  61.8
21.8  53.5
26.8  24.3
27.3  54.3
27.5  54.0
27.9  50.1

Structural model:
```
ZnSn2H12O6F6
1.0
6.838 0.000 0.000
2.204 6.735 0.000
1.419 1.423 6.845
Zn Sn H O F
1 2 12 6 6
Direct
0.000 0.000 0.000
0.338 0.320 0.357
0.662 0.680 0.643
0.084 0.799 0.360
0.100 0.749 0.743
0.217 0.635 0.928
0.243 0.254 0.942
0.265 0.904 0.265
0.351 0.085 0.813
0.649 0.915 0.187
0.735 0.096 0.735
0.757 0.746 0.058
0.783 0.365 0.072
0.900 0.251 0.257
0.916 0.201 0.640
0.173 0.834 0.236
0.179 0.769 0.836
0.215 0.167 0.867
0.785 0.833 0.133
0.821 0.231 0.164
0.827 0.166 0.764
0.033 0.283 0.420
0.287 0.405 0.062
0.427 0.018 0.310
0.573 0.982 0.690
0.713 0.595 0.938
0.967 0.717 0.580
```

Entry 4:
SrTiH4O2F6: simulated PXRD pattern (copper Kα), based on a crystal structure in Alexandria, relaxed with GGA-PBE.
No peak broadening, texture or thermal motion is included.

Principal peaks in the range 2θ from 15° to 90°, low angle first:
Position (°2θ)  intensity
15.5  52.0
18.0  50.9
20.0  58.7
24.1  100.0
25.1  56.1
26.9  39.4
31.1  44.9
37.2  37.2

Structural model:
```
SrTiH4O2F6
1.0
6.103 0.000 0.000
0.000 9.839 0.000
-4.273 0.000 11.220
Sr Ti H O F
4 4 16 8 24
Direct
0.227 0.181 0.049
0.227 0.319 0.549
0.773 0.681 0.451
0.773 0.819 0.951
0.128 0.534 0.231
0.128 0.966 0.731
0.872 0.034 0.269
0.872 0.466 0.769
0.226 0.603 0.672
0.226 0.897 0.172
0.309 0.654 0.568
0.309 0.846 0.068
0.320 0.655 0.940
0.320 0.845 0.440
0.474 0.640 0.076
0.474 0.860 0.576
0.526 0.140 0.424
0.526 0.360 0.924
0.680 0.155 0.560
0.680 0.345 0.060
0.691 0.154 0.932
0.691 0.346 0.432
0.774 0.103 0.828
0.774 0.397 0.328
0.206 0.588 0.588
0.206 0.912 0.088
0.434 0.703 0.009
0.434 0.797 0.509
0.566 0.203 0.491
0.566 0.297 0.991
0.794 0.088 0.912
0.794 0.412 0.412
0.001 0.151 0.183
0.001 0.349 0.683
0.004 0.141 0.406
0.004 0.359 0.906
0.154 0.569 0.812
0.154 0.931 0.312
0.257 0.090 0.653
0.257 0.410 0.153
0.265 0.065 0.874
0.265 0.435 0.374
0.407 0.642 0.273
0.407 0.858 0.773
0.593 0.142 0.227
0.593 0.358 0.727
0.735 0.565 0.626
0.735 0.935 0.126
0.743 0.590 0.847
0.743 0.910 0.347
0.846 0.069 0.688
0.846 0.431 0.188
0.996 0.641 0.094
0.996 0.859 0.594
0.999 0.651 0.317
0.999 0.849 0.817
```

Entry 5:
TiH6O2F6: simulated PXRD pattern (copper Kα), based on a crystal structure in Alexandria, relaxed with GGA-PBE.
No peak broadening, texture or thermal motion is included.

Principal peaks in the range 2θ from 15° to 90°, low angle first:
Position (°2θ)  intensity
18.6  63.6
23.9  100.0
32.4  26.0
35.5  21.6
40.7  51.1
44.8  22.1
48.8  24.0
57.1  22.9

Structural model:
```
TiH6O2F6
1.0
5.521 0.000 0.000
-2.760 4.781 0.000
0.000 0.000 5.958
Ti H O F
1 6 2 6
Direct
0.000 0.000 0.000
0.159 0.490 0.280
0.331 0.841 0.280
0.490 0.159 0.720
0.510 0.669 0.280
0.669 0.510 0.720
0.841 0.331 0.720
0.333 0.667 0.333
0.667 0.333 0.667
0.087 0.304 0.804
0.217 0.913 0.804
0.304 0.087 0.196
0.696 0.783 0.804
0.783 0.696 0.196
0.913 0.217 0.196
```

Entry 6:
TiZnH12O6F6: simulated PXRD pattern (copper Kα), based on a crystal structure in Alexandria, relaxed with GGA-PBE.
No peak broadening, texture or thermal motion is included.

Principal peaks in the range 2θ from 15° to 90°, low angle first:
Position (°2θ)  intensity
18.2  100.0
20.6  64.5
27.7  12.1
29.4  24.1
33.3  35.6
46.1  33.3
49.6  13.0
53.7  16.4

Structural model:
```
TiZnH12O6F6
1.0
4.866 2.809 3.336
-4.866 2.809 3.336
0.000 -5.619 3.336
Ti Zn H O F
1 1 12 6 6
Direct
0.000 0.000 0.000
0.500 0.500 0.500
0.100 0.451 0.304
0.188 0.690 0.323
0.304 0.100 0.451
0.310 0.677 0.812
0.323 0.188 0.690
0.451 0.304 0.100
0.549 0.696 0.900
0.677 0.812 0.310
0.690 0.323 0.188
0.696 0.900 0.549
0.812 0.310 0.677
0.900 0.549 0.696
0.201 0.561 0.385
0.385 0.201 0.561
0.439 0.615 0.799
0.561 0.385 0.201
0.615 0.799 0.439
0.799 0.439 0.615
0.065 0.755 0.850
0.150 0.935 0.245
0.245 0.150 0.935
0.755 0.850 0.065
0.850 0.065 0.755
0.935 0.245 0.150
```